YMg5: simulated powder diffraction line list (λ = 1.5418 Å (Cu Kα)), based on DFT lattice parameters and positions (PBE).

The 10 most intense peaks (2θ from 10° to 90°), most intense first:
d [Å]	I_rel
2.646	100
2.542	89
2.598	47
2.569	46
6.701	37
5.196	25
1.904	24
5.710	23
3.502	21
3.230	18

Atomic structure:
a = 11.988 Å, b = 3.680 Å, c = 7.034 Å
α = 90.00°, β = 107.71°, γ = 90.00°
Space group C2/m (No. 12)
Symmetry-distinct sites (fractional):
1 Y 0.000 0.000 0.000 (multiplicity 2)
2 Mg 0.000 0.000 0.500 (multiplicity 2)
3 Mg 0.172 0.500 0.345 (multiplicity 4)
4 Mg 0.175 0.500 0.828 (multiplicity 4)